This entry pairs a crystal structure of Zr4C2Se with its simulated X-ray powder pattern. Radiation: λ = 1.5418 Å (Cu Kα). Structure: the GGA-PBE geometry in Alexandria.
Peak positions follow from Bragg's law for the DFT cell and can differ from measured ones.

Most intense lines, 15 to 90 degrees two-theta, most intense first:
2theta	I (rel.)
35.10	100
36.50	44
53.49	37
30.22	22
32.74	20
67.67	18
47.34	16
38.28	16
65.59	15
89.53	13

Crystal structure
Cell lengths 11.921, 11.921, 11.921 Å; angles 16.53, 16.53, 16.53 degrees
Sites, in units of the cell vectors:
1 Zr 0.127 0.127 0.127
2 Zr 0.277 0.277 0.277
3 Zr 0.723 0.723 0.723
4 Zr 0.873 0.873 0.873
5 C 0.424 0.424 0.424
6 C 0.576 0.576 0.576
7 Se 0.000 0.000 0.000